# 1
Structure and simulated PXRD pattern of V2P3O10 (a cell relaxed with PBE+U; a wavelength of 1.5418 Å).

The 12 most intense peaks (2θ = 5–70°), in order of rising 2θ:
d_spacing  two_theta  intensity
8.949  9.88  88.4
4.475  19.84  41.9
4.233  20.99  23.5
3.590  24.80  35.1
3.523  25.28  36.3
3.160  28.24  100.0
2.864  31.23  48.1
2.710  33.05  52.1
2.691  33.29  20.5
2.070  43.74  27.8
1.622  56.76  19.3
1.392  67.27  23.1

Atomic structure:
```
V2P3O10
1.0
4.802 0.000 0.000
0.000 8.465 0.000
-1.317 0.000 8.949
V P O
4 6 20
Direct
0.039 0.077 0.333
0.039 0.423 0.333
0.961 0.577 0.667
0.961 0.923 0.667
0.329 0.250 0.813
0.392 0.750 0.456
0.460 0.250 0.146
0.540 0.750 0.854
0.608 0.250 0.544
0.671 0.750 0.187
0.167 0.099 0.786
0.167 0.401 0.786
0.227 0.750 0.773
0.230 0.599 0.486
0.230 0.901 0.486
0.304 0.250 0.458
0.311 0.098 0.176
0.311 0.402 0.176
0.412 0.750 0.283
0.487 0.750 0.027
0.513 0.250 0.973
0.588 0.250 0.717
0.689 0.598 0.824
0.689 0.902 0.824
0.696 0.750 0.542
0.770 0.099 0.514
0.770 0.401 0.514
0.773 0.250 0.227
0.833 0.599 0.214
0.833 0.901 0.214
```

=====

# 2
Structure and simulated PXRD pattern of MgV2Mo2O10 (a cell relaxed with PBE+U; a wavelength of 1.5418 Å).

The 12 most intense peaks (2θ = 5–70°), in order of rising 2θ:
d_spacing  two_theta  intensity
5.793  15.30  23.3
4.675  18.98  21.4
4.357  20.38  48.6
3.638  24.47  100.0
3.306  26.97  88.7
2.462  36.49  38.0
2.337  38.52  14.3
1.966  46.16  30.1
1.819  50.15  13.7
1.695  54.10  32.7
1.653  55.61  15.5
1.478  62.87  12.0

Atomic structure:
```
MgV2Mo2O10
1.0
6.611 0.000 0.000
0.000 6.611 0.000
0.000 0.000 5.793
Mg V Mo O
1 2 2 10
Direct
0.000 0.000 0.000
0.000 0.500 0.809
0.500 0.000 0.191
0.000 0.000 0.500
0.500 0.500 0.500
0.000 0.500 0.092
0.005 0.797 0.744
0.203 0.005 0.256
0.280 0.494 0.680
0.494 0.720 0.320
0.500 0.000 0.908
0.506 0.280 0.320
0.720 0.506 0.680
0.797 0.995 0.256
0.995 0.203 0.744
```